Sb5Os3Au: simulated powder X-ray diffraction pattern (Cu Kα (weighted mean of Kα1 and Kα2)), based on DFT lattice parameters and positions (PBE).
No peak broadening, texture or thermal motion is included.

Atomic structure:
Cell lengths 5.627, 5.627, 7.768 Å; angles 90.00, 90.00, 120.00 degrees
Fractional positions:
Sb 0.000 0.000 0.000
Sb 0.333 0.667 0.281
Sb 0.333 0.667 0.719
Sb 0.667 0.333 0.281
Sb 0.667 0.333 0.719
Os 0.000 0.500 0.000
Os 0.500 0.000 0.000
Os 0.500 0.500 0.000
Au 0.000 0.000 0.500

The 6 most intense peaks (5 to 70 degrees two-theta), most intense first:
2theta	I (rel.)
43.86	100
11.39	55
31.81	38
38.73	32
29.41	31
36.89	27

=====

Sm4C2Br3Cl2: simulated powder X-ray diffraction pattern (Cu Kα (weighted mean of Kα1 and Kα2)), based on DFT lattice parameters and positions (PBE).
No peak broadening, texture or thermal motion is included.

Atomic structure:
Cell lengths 9.605, 9.605, 8.136 Å; angles 103.82, 103.82, 23.15 degrees
Fractional positions:
Sm 0.001 0.001 0.300
Sm 0.340 0.340 0.402
Sm 0.660 0.660 0.598
Sm 0.999 0.999 0.700
C 0.461 0.461 0.477
C 0.539 0.539 0.523
Br 0.163 0.163 0.866
Br 0.500 0.500 0.000
Br 0.837 0.837 0.134
Cl 0.170 0.170 0.348
Cl 0.830 0.830 0.652

The 6 most intense peaks (5 to 70 degrees two-theta), most intense first:
2theta	I (rel.)
31.99	100
29.36	70
44.42	38
28.25	38
43.52	37
11.21	36

=====

Nd2Dy2CI2BrCl2: simulated powder X-ray diffraction pattern (Cu Kα (weighted mean of Kα1 and Kα2)), based on DFT lattice parameters and positions (PBE).
No peak broadening, texture or thermal motion is included.

Atomic structure:
Cell lengths 9.185, 9.185, 8.274 Å; angles 101.94, 101.94, 24.52 degrees
Fractional positions:
Nd 0.143 0.143 0.070
Nd 0.857 0.857 0.930
Dy 0.496 0.496 0.197
Dy 0.504 0.504 0.803
C 0.000 0.000 0.000
I 0.335 0.335 0.631
I 0.665 0.665 0.369
Br 0.000 0.000 0.500
Cl 0.336 0.336 0.170
Cl 0.664 0.664 0.830

The 6 most intense peaks (5 to 70 degrees two-theta), most intense first:
2theta	I (rel.)
31.53	100
30.57	52
30.87	46
28.41	33
44.80	31
10.08	29